Structure and simulated powder X-ray diffraction pattern of Lu2Te5O13 (a cell relaxed with GGA-PBE; Cu Kα, 1.54184 Å).

Atomic structure:
```
data_Lu2Te5O13
_space_group_name_H-M_alt 'P 1'
_space_group_IT_number 1
_cell_length_a 6.891
_cell_length_b 8.753
_cell_length_c 10.705
_cell_angle_alpha 88.46
_cell_angle_beta 86.96
_cell_angle_gamma 74.68
loop_
_space_group_symop_operation_xyz
'x,y,z'
loop_
_atom_site_label
_atom_site_type_symbol
_atom_site_fract_x
_atom_site_fract_y
_atom_site_fract_z
Lu1 Lu 0.005 0.245 0.242
Lu2 Lu 0.448 0.968 0.819
Lu3 Lu 0.552 0.032 0.181
Lu4 Lu 0.995 0.755 0.758
Te1 Te 0.129 0.855 0.102
Te2 Te 0.157 0.301 0.644
Te3 Te 0.269 0.896 0.488
Te4 Te 0.292 0.375 0.977
Te5 Te 0.448 0.402 0.299
Te6 Te 0.552 0.598 0.701
Te7 Te 0.708 0.625 0.023
Te8 Te 0.731 0.104 0.512
Te9 Te 0.843 0.699 0.356
Te10 Te 0.871 0.145 0.898
O1 O 0.036 0.852 0.568
O2 O 0.056 0.321 0.045
O3 O 0.068 0.767 0.275
O4 O 0.071 0.515 0.694
O5 O 0.133 0.995 0.904
O6 O 0.231 0.005 0.185
O7 O 0.317 0.732 0.778
O8 O 0.318 0.237 0.285
O9 O 0.337 0.012 0.620
O10 O 0.338 0.233 0.776
O11 O 0.355 0.483 0.122
O12 O 0.457 0.693 0.521
O13 O 0.473 0.170 0.004
O14 O 0.527 0.830 0.996
O15 O 0.543 0.307 0.479
O16 O 0.645 0.517 0.878
O17 O 0.662 0.767 0.224
O18 O 0.663 0.988 0.380
O19 O 0.682 0.763 0.715
O20 O 0.683 0.268 0.222
O21 O 0.769 0.995 0.815
O22 O 0.867 0.005 0.096
O23 O 0.929 0.485 0.306
O24 O 0.932 0.233 0.725
O25 O 0.944 0.679 0.955
O26 O 0.964 0.148 0.432
```

The 10 most intense peaks (15 to 90 degrees two-theta), sorted by position:
2θ (°)  d_spacing  Rel. int.
26.92  3.312  51
27.30  3.267  48
27.89  3.199  100
31.03  2.882  33
32.02  2.795  26
32.50  2.755  24
44.18  2.050  12
45.33  2.001  14
46.20  1.965  13
55.11  1.666  12



Structure and simulated powder X-ray diffraction pattern of Lu10Ti6O27 (a cell relaxed with GGA-PBE; Cu Kα, 1.54184 Å).

Atomic structure:
```
data_Lu10Ti6O27
_space_group_name_H-M_alt 'P 1'
_space_group_IT_number 1
_cell_length_a 7.325
_cell_length_b 7.325
_cell_length_c 12.274
_cell_angle_alpha 107.63
_cell_angle_beta 107.63
_cell_angle_gamma 58.49
loop_
_space_group_symop_operation_xyz
'x,y,z'
loop_
_atom_site_label
_atom_site_type_symbol
_atom_site_fract_x
_atom_site_fract_y
_atom_site_fract_z
Lu1 Lu 0.000 0.000 0.000
Lu2 Lu 0.002 0.002 0.508
Lu3 Lu 0.238 0.748 0.739
Lu4 Lu 0.255 0.770 0.256
Lu5 Lu 0.258 0.258 0.272
Lu6 Lu 0.268 0.268 0.771
Lu7 Lu 0.532 0.532 0.995
Lu8 Lu 0.748 0.238 0.739
Lu9 Lu 0.770 0.255 0.256
Lu10 Lu 0.773 0.773 0.240
Ti1 Ti 0.019 0.497 0.008
Ti2 Ti 0.497 0.019 0.008
Ti3 Ti 0.509 0.999 0.494
Ti4 Ti 0.513 0.513 0.511
Ti5 Ti 0.770 0.770 0.756
Ti6 Ti 0.999 0.509 0.494
O1 O 0.051 0.544 0.665
O2 O 0.082 0.082 0.189
O3 O 0.088 0.088 0.695
O4 O 0.096 0.524 0.172
O5 O 0.232 0.647 0.547
O6 O 0.239 0.685 0.068
O7 O 0.261 0.261 0.453
O8 O 0.278 0.278 0.954
O9 O 0.316 0.887 0.943
O10 O 0.359 0.851 0.479
O11 O 0.451 0.451 0.814
O12 O 0.461 0.461 0.344
O13 O 0.489 0.903 0.316
O14 O 0.524 0.096 0.172
O15 O 0.544 0.051 0.665
O16 O 0.599 0.961 0.868
O17 O 0.611 0.611 0.679
O18 O 0.647 0.232 0.547
O19 O 0.685 0.239 0.068
O20 O 0.719 0.719 0.050
O21 O 0.820 0.820 0.497
O22 O 0.851 0.359 0.479
O23 O 0.887 0.316 0.943
O24 O 0.903 0.489 0.316
O25 O 0.933 0.933 0.800
O26 O 0.947 0.947 0.320
O27 O 0.961 0.599 0.868
```

The 10 most intense peaks (15 to 90 degrees two-theta), sorted by position:
2θ (°)  d_spacing  Rel. int.
29.81  2.997  54
30.44  2.936  100
31.08  2.878  47
34.93  2.568  21
35.48  2.530  45
49.81  1.831  29
51.05  1.789  29
51.47  1.775  27
59.88  1.545  26
60.98  1.519  19



Question: Number 2 is which compound?
Answer: Lu10Ti6O27